Ti2MnSiO: computed powder X-ray diffraction pattern (a wavelength of 1.5418 Å), based on a PBE+U-relaxed structure.
Lines closer than 0.1° are merged.

Top 6 peaks for 2θ from 5° to 70°, in order of rising 2θ:
(1 0 0), 18.3°, d 4.846, rel. 32; (0 0 1), 25.3°, d 3.522, rel. 41; (1 0 1), 31.4°, d 2.849, rel. 39; (1 1 1), 36.6°, d 2.456, rel. 38; (2 0 0), 37.1°, d 2.423, rel. 100; (2 0 2), 65.5°, d 1.424, rel. 32

Crystal structure
```
data_Ti2MnSiO
_chemical_formula_sum 'Ti2 Mn1 Si1 O1'
_cell_length_a 4.846
_cell_length_b 4.846
_cell_length_c 3.522
_cell_angle_alpha 90.00
_cell_angle_beta 90.00
_cell_angle_gamma 90.00
_space_group_name_H-M_alt 'P 1'
_space_group_IT_number 1
loop_
_space_group_symop_operation_xyz
'x,y,z'
loop_
_atom_site_label
_atom_site_fract_x
_atom_site_fract_y
_atom_site_fract_z
_atom_site_occupancy
Ti1 0.000 0.500 0.000 1
Ti2 0.500 0.000 0.000 1
Mn1 0.000 0.000 0.000 1
Si1 0.500 0.500 0.500 1
O1 0.000 0.000 0.500 1
```